1.
The following is a simulated powder X-ray diffraction pattern of BaCaLu2F10. It was derived from DFT lattice parameters and positions (PBE), using Cu Kα (λ = 1.5418 Å).
Neutral-atom scattering factors, no anomalous dispersion.

Crystal structure
Cell lengths 8.078, 8.078, 11.742 Å; angles 90.00, 90.00, 90.00 degrees
Space group I4/mmm (No. 139)
One atom of each set of equivalent atoms:
Ba: 0.000 0.500 0.250
Ca: 0.000 0.000 0.243
Lu: 0.238 0.238 0.000
F: 0.000 0.232 0.108
F: 0.000 0.330 0.500
F: 0.175 0.175 0.338

Most intense lines, 15° ≤ 2θ ≤ 90°, by angle:
| 2θ (°) | I/Imax | index |
| --- | --- | --- |
| 15.09 | 15 | 0 0 2 |
| 22.01 | 14 | 2 0 0 |
| 26.79 | 100 | 2 0 2 |
| 30.45 | 15 | 0 0 4 |
| 31.32 | 28 | 2 2 0 |
| 44.25 | 32 | 2 2 4 |
| 44.88 | 17 | 4 0 0 |
| 51.92 | 21 | 2 0 6 |
| 53.04 | 35 | 4 2 2 |
| 71.01 | 14 | 4 2 6 |


2.
The following is a simulated powder X-ray diffraction pattern of RbSnTeS6. It was derived from DFT lattice parameters and positions (PBE), using Cu Kα (λ = 1.5418 Å).
Neutral-atom scattering factors, no anomalous dispersion.

Crystal structure
Cell lengths 6.411, 11.122, 7.935 Å; angles 90.00, 90.03, 90.00 degrees
Space group C2 (No. 5)
One atom of each set of equivalent atoms:
Rb: 0.000 0.000 0.000
Sn: 0.000 0.334 0.500
Te: 0.000 0.667 0.500
S: 0.131 0.504 0.311
S: 0.178 0.813 0.310
S: 0.190 0.182 0.311

Most intense lines, 15° ≤ 2θ ≤ 90°, by angle:
| 2θ (°) | I/Imax | index |
| --- | --- | --- |
| 19.50 | 100 | 1 1 1 |
| 27.81 | 24 | 2 0 0 |
| 30.05 | 28 | 2 0 1 |
| 34.19 | 18 | 0 4 1 |
| 36.00 | 76 | 2 0 2 |
| 37.66 | 14 | 1 1 3 |
| 44.39 | 15 | 1 3 3 |
| 44.63 | 22 | 2 4 -1 |
| 49.19 | 22 | 3 3 0 |
| 54.38 | 18 | 1 3 4 |


3.
The following is a simulated powder X-ray diffraction pattern of K2CaCdP2. It was derived from DFT lattice parameters and positions (PBE), using Cu Kα (λ = 1.5418 Å).
Neutral-atom scattering factors, no anomalous dispersion.

Crystal structure
Cell lengths 6.715, 15.121, 6.818 Å; angles 90.00, 90.00, 90.00 degrees
Space group Ibam (No. 72)
One atom of each set of equivalent atoms:
K: 0.215 0.183 0.000
Ca: 0.000 0.500 0.250
Cd: 0.000 0.000 0.250
P: 0.239 0.097 0.500

Most intense lines, 15° ≤ 2θ ≤ 90°, by angle:
| 2θ (°) | I/Imax | index |
| --- | --- | --- |
| 28.73 | 90 | 0 2 2 |
| 29.10 | 83 | 2 2 0 |
| 30.13 | 64 | 1 4 1 |
| 34.45 | 25 | 1 3 2 |
| 35.46 | 64 | 0 4 2 |
| 35.77 | 61 | 2 4 0 |
| 37.60 | 100 | 2 0 2 |
| 39.51 | 35 | 2 2 2 |
| 52.76 | 22 | 2 6 2 |
| 66.26 | 24 | 2 4 4 |


4.
The following is a simulated powder X-ray diffraction pattern of Ca2TmCd6. It was derived from DFT lattice parameters and positions (PBE), using Cu Kα (λ = 1.5418 Å).
Neutral-atom scattering factors, no anomalous dispersion.

Crystal structure
Cell lengths 8.6582, 8.6582, 3.5025 Å; angles 90.00, 90.00, 120.00 degrees
Space group P6/mmm (No. 191)
One atom of each set of equivalent atoms:
Ca: 0.3333 0.6667 0.0000
Tm: 0.0000 0.0000 0.0000
Cd: 0.0000 0.3319 0.5000

Most intense lines, 15° ≤ 2θ ≤ 90°, by angle:
| 2θ (°) | I/Imax | index |
| --- | --- | --- |
| 25.43 | 17 | 0 0 1 |
| 32.89 | 100 | 1 1 1 |
| 35.93 | 98 | 3 0 0 |
| 44.53 | 23 | 3 0 1 |
| 49.50 | 31 | 2 2 1 |
| 62.67 | 29 | 4 1 1 |
| 64.58 | 17 | 3 3 0 |
| 65.03 | 32 | 3 0 2 |
| 85.49 | 12 | 5 2 1 |
| 87.61 | 14 | 3 3 2 |


5.
The following is a simulated powder X-ray diffraction pattern of Dy2MgZn7. It was derived from DFT lattice parameters and positions (PBE), using Cu Kα (λ = 1.5418 Å).
Neutral-atom scattering factors, no anomalous dispersion.

Crystal structure
Cell lengths 4.110, 4.110, 11.199 Å; angles 90.00, 90.00, 90.00 degrees
Space group P-4m2 (No. 115)
One atom of each set of equivalent atoms:
Dy: 0.000 0.500 0.234
Mg: 0.000 0.000 0.500
Zn: 0.000 0.000 0.000
Zn: 0.000 0.500 0.650
Zn: 0.000 0.500 0.869
Zn: 0.500 0.500 0.000
Zn: 0.500 0.500 0.500

Most intense lines, 15° ≤ 2θ ≤ 90°, by angle:
| 2θ (°) | I/Imax | index |
| --- | --- | --- |
| 23.05 | 9 | 1 0 1 |
| 30.77 | 25 | 1 1 0 |
| 32.40 | 63 | 1 0 3 |
| 34.78 | 100 | 1 1 2 |
| 44.07 | 49 | 2 0 0 |
| 46.16 | 36 | 1 0 5 |
| 55.75 | 26 | 2 1 3 |
| 64.09 | 16 | 2 2 0 |
| 65.72 | 24 | 2 1 5 |
| 75.03 | 20 | 3 1 2 |


6.
The following is a simulated powder X-ray diffraction pattern of TbHo2ErTl2. It was derived from DFT lattice parameters and positions (PBE), using Cu Kα (λ = 1.5418 Å).
Neutral-atom scattering factors, no anomalous dispersion.

Crystal structure
Cell lengths 5.074, 9.923, 6.814 Å; angles 90.00, 90.00, 90.00 degrees
Space group Pmc2_1 (No. 26)
One atom of each set of equivalent atoms:
Tb: 0.000 0.043 0.000
Ho: 0.000 0.314 0.378
Ho: 0.500 0.456 0.094
Er: 0.500 0.190 0.717
Tl: 0.000 0.366 0.839
Tl: 0.500 0.133 0.257

Most intense lines, 15° ≤ 2θ ≤ 90°, by angle:
| 2θ (°) | I/Imax | index |
| --- | --- | --- |
| 30.03 | 20 | 0 3 1 |
| 31.63 | 63 | 1 0 2 |
| 31.86 | 22 | 0 2 2 |
| 32.31 | 100 | 1 3 0 |
| 32.93 | 83 | 1 1 2 |
| 34.96 | 38 | 1 3 1 |
| 35.38 | 61 | 2 0 0 |
| 37.91 | 26 | 0 3 2 |
| 52.82 | 20 | 2 3 2 |
| 61.59 | 17 | 3 3 0 |


7.
The following is a simulated powder X-ray diffraction pattern of VPt8Rh6. It was derived from DFT lattice parameters and positions (PBE), using Cu Kα (λ = 1.5418 Å).
Neutral-atom scattering factors, no anomalous dispersion.

Crystal structure
Cell lengths 7.2493, 7.2493, 15.9928 Å; angles 90.00, 90.00, 120.00 degrees
Space group R-3 (No. 148, hexagonal axes)
One atom of each set of equivalent atoms:
V: 0.0000 0.0000 0.0000
Pt: 0.0000 0.0000 0.2551
Pt: 0.0151 0.7196 0.1299
Rh: 0.0087 0.7095 0.6315

Most intense lines, 15° ≤ 2θ ≤ 90°, by angle:
| 2θ (°) | I/Imax | index |
| --- | --- | --- |
| 17.96 | 16 | 0 1 2 |
| 24.56 | 14 | 1 1 0 |
| 29.81 | 15 | 1 1 3 |
| 36.39 | 24 | 0 2 4 |
| 39.62 | 31 | 3 -2 2 |
| 42.08 | 100 | 1 1 6 |
| 43.23 | 69 | 3 0 0 |
| 44.39 | 20 | 3 -1 4 |
| 61.91 | 19 | 4 -2 6 |
| 76.09 | 13 | 2 -1 12 |


8.
The following is a simulated powder X-ray diffraction pattern of CaDy5Ag6. It was derived from DFT lattice parameters and positions (PBE), using Cu Kα (λ = 1.5418 Å).
Neutral-atom scattering factors, no anomalous dispersion.

Crystal structure
Cell lengths 5.152, 15.503, 7.262 Å; angles 90.00, 90.00, 90.00 degrees
Space group Cmmm (No. 65)
One atom of each set of equivalent atoms:
Ca: 0.000 0.000 0.000
Dy: 0.000 0.000 0.500
Dy: 0.000 0.334 0.000
Dy: 0.000 0.334 0.500
Ag: 0.000 0.170 0.254
Ag: 0.000 0.500 0.258

Most intense lines, 15° ≤ 2θ ≤ 90°, by angle:
| 2θ (°) | I/Imax | index |
| --- | --- | --- |
| 34.72 | 20 | 0 6 0 |
| 34.85 | 100 | 2 0 0 |
| 50.00 | 14 | 2 6 0 |
| 50.26 | 7 | 0 0 4 |
| 62.33 | 14 | 1 9 2 |
| 62.49 | 21 | 3 3 2 |
| 62.60 | 7 | 2 0 4 |
| 73.60 | 11 | 4 0 0 |
| 83.92 | 9 | 4 6 0 |
| 84.31 | 6 | 1 3 6 |